1.
For Pr4TlPt2, a structure optimized by DFT (GGA-PBE) gives the computed powder diffraction line list in this record (copper Kα).
Lines closer than 0.1° are merged.

The 10 most intense peaks (10° ≤ 2θ ≤ 90°), by intensity:
2theta, I_rel, h k l
36.3, 1000, 1 1 0
36.6, 784, 1 0 10
20.9, 422, 1 0 1
65.5, 290, 2 1 10
52.5, 281, 0 2 10
25.6, 238, 0 1 5
65.3, 202, 3 0 0
77.1, 188, 2 2 0
23.9, 180, 1 0 4
39.2, 171, 0 1 11

Structure:
```
data_Pr4TlPt2
_space_group_name_H-M_alt 'R -3 m'
_space_group_IT_number 166
_space_group_name_Hall '-R 3 2"'
_cell_length_a 4.9489
_cell_length_b 4.9489
_cell_length_c 29.9673
_cell_angle_alpha 90.00
_cell_angle_beta 90.00
_cell_angle_gamma 120.00
loop_
_atom_site_label
_atom_site_fract_x
_atom_site_fract_y
_atom_site_fract_z
_atom_site_occupancy
Pr1 0.0000 0.0000 0.1147 1
Pr2 0.0000 0.0000 0.2968 1
Tl1 0.0000 0.0000 0.5000 1
Pt1 0.0000 0.0000 0.3983 1
```

***

2.
For LaAg2Cl6, a structure optimized by DFT (GGA-PBE) gives the computed powder diffraction line list in this record (copper Kα).
Lines closer than 0.1° are merged.

The 10 most intense peaks (10° ≤ 2θ ≤ 90°), by intensity:
2theta, I_rel, h k l
15.5, 1000, 1 0 1
37.6, 665, 2 -1 6
26.8, 388, 0 1 5
45.8, 300, 3 0 0
26.0, 298, 1 1 0
29.2, 268, 2 -1 3
37.7, 217, 2 0 5
60.7, 212, 2 2 6
46.3, 209, 1 2 5
40.4, 143, 2 1 1

Structure:
```
data_LaAg2Cl6
_space_group_name_H-M_alt 'R -3'
_space_group_IT_number 148
_space_group_name_Hall '-R 3'
_cell_length_a 6.8647
_cell_length_b 6.8647
_cell_length_c 20.0611
_cell_angle_alpha 90.00
_cell_angle_beta 90.00
_cell_angle_gamma 120.00
loop_
_atom_site_label
_atom_site_fract_x
_atom_site_fract_y
_atom_site_fract_z
_atom_site_occupancy
La1 0.0000 0.0000 0.0000 1
Ag1 0.0000 0.0000 0.1801 1
Cl1 0.0079 0.3147 0.9093 1
```

***

3.
For V5S7, a structure optimized by DFT (GGA-PBE) gives the computed powder diffraction line list in this record (copper Kα).
Lines closer than 0.1° are merged.

The 10 most intense peaks (10° ≤ 2θ ≤ 90°), by intensity:
2theta, I_rel, h k l
15.8, 1000, 0 0 2
37.0, 967, 3 1 -1
40.0, 571, 3 1 1
48.3, 402, 1 1 -5
19.6, 305, 2 0 -2
40.1, 294, 2 0 4
57.4, 259, 0 2 0
37.6, 257, 3 1 0
39.1, 256, 2 0 -5
38.2, 240, 3 1 -2

Structure:
```
data_V5S7
_space_group_name_H-M_alt 'C 1 2/m 1'
_space_group_IT_number 12
_cell_length_a 11.150
_cell_length_b 3.212
_cell_length_c 11.655
_cell_angle_alpha 90.00
_cell_angle_beta 105.67
_cell_angle_gamma 90.00
loop_
_space_group_symop_operation_xyz
'x,y,z'
'-x,-y,-z'
'-x,y,-z'
'x,-y,z'
'x+1/2,y+1/2,z'
'-x+1/2,-y+1/2,-z'
'-x+1/2,y+1/2,-z'
'x+1/2,-y+1/2,z'
loop_
_atom_site_label
_atom_site_fract_x
_atom_site_fract_y
_atom_site_fract_z
_atom_site_occupancy
V1 0.000 0.000 0.000 1
V2 0.139 0.000 0.452 1
V3 0.169 0.500 0.894 1
S1 0.000 0.500 0.500 1
S2 0.031 0.000 0.797 1
S3 0.161 0.500 0.087 1
S4 0.233 0.500 0.361 1
```

***

4.
For Li15Mg6Zn8, a structure optimized by DFT (GGA-PBE) gives the computed powder diffraction line list in this record (copper Kα).
Lines closer than 0.1° are merged.

The 10 most intense peaks (10° ≤ 2θ ≤ 90°), by intensity:
2theta, I_rel, h k l
40.8, 1000, 4 4 0
12.3, 917, 1 1 1
37.3, 601, 5 1 1
23.6, 464, 3 1 1
28.5, 462, 4 0 0
31.2, 339, 3 3 1
42.8, 301, 5 3 1
74.3, 210, 8 4 4
79.2, 180, 9 5 1
66.9, 156, 8 4 0

Structure:
```
data_Li15Mg6Zn8
_space_group_name_H-M_alt 'F m -3 m'
_space_group_IT_number 225
_space_group_name_Hall '-F 4 2 3'
_cell_length_a 12.513
_cell_length_b 12.513
_cell_length_c 12.513
_cell_angle_alpha 90.00
_cell_angle_beta 90.00
_cell_angle_gamma 90.00
loop_
_atom_site_label
_atom_site_fract_x
_atom_site_fract_y
_atom_site_fract_z
_atom_site_occupancy
Li1 0.000 0.000 0.000 1
Li2 0.000 0.250 0.250 1
Li3 0.169 0.169 0.331 1
Mg1 0.000 0.000 0.291 1
Zn1 0.118 0.118 0.118 1
```

***

5.
For In2Te, a structure optimized by DFT (GGA-PBE) gives the computed powder diffraction line list in this record (copper Kα).
Lines closer than 0.1° are merged.

The 10 most intense peaks (10° ≤ 2θ ≤ 90°), by intensity:
2theta, I_rel, h k l
32.0, 1000, 1 1 2
35.1, 672, 1 0 7
29.3, 598, 1 0 5
44.4, 345, 2 0 0
57.9, 309, 2 1 7
41.8, 250, 1 0 9
65.6, 209, 1 1 14
54.1, 209, 2 1 5
73.9, 170, 3 1 2
62.6, 147, 2 1 9

Structure:
```
data_In2Te
_space_group_name_H-M_alt 'I 41/a m d'
_space_group_IT_number 141
_cell_length_a 4.080
_cell_length_b 4.080
_cell_length_c 22.921
_cell_angle_alpha 90.00
_cell_angle_beta 90.00
_cell_angle_gamma 90.00
loop_
_space_group_symop_operation_xyz
'x,y,z'
'-x,-y,-z'
'-y+1/4,x+3/4,z+1/4'
'y+1/4,-x+3/4,-z+1/4'
'-x+1/2,-y,z+1/2'
'x+1/2,y,-z+1/2'
'y+1/4,-x+1/4,z+3/4'
'-y+1/4,x+1/4,-z+3/4'
'x,-y,-z'
'-x,y,z'
'-y+1/4,-x+1/4,-z+3/4'
'y+1/4,x+1/4,z+3/4'
'-x+1/2,y,-z+1/2'
'x+1/2,-y,z+1/2'
'y+1/4,x+3/4,-z+1/4'
'-y+1/4,-x+3/4,z+1/4'
'x+1/2,y+1/2,z+1/2'
'-x+1/2,-y+1/2,-z+1/2'
'-y+3/4,x+1/4,z+3/4'
'y+3/4,-x+1/4,-z+3/4'
'-x,-y+1/2,z'
'x,y+1/2,-z'
'y+3/4,-x+3/4,z+1/4'
'-y+3/4,x+3/4,-z+1/4'
'x+1/2,-y+1/2,-z+1/2'
'-x+1/2,y+1/2,z+1/2'
'-y+3/4,-x+3/4,-z+1/4'
'y+3/4,x+3/4,z+1/4'
'-x,y+1/2,-z'
'x,-y+1/2,z'
'y+3/4,x+1/4,-z+3/4'
'-y+3/4,-x+1/4,z+3/4'
loop_
_atom_site_label
_atom_site_fract_x
_atom_site_fract_y
_atom_site_fract_z
_atom_site_occupancy
In1 0.000 0.250 0.304 1
Te1 0.000 0.250 0.875 1
```

***

6.
For Y2HfGa2Rh5, a structure optimized by DFT (GGA-PBE) gives the computed powder diffraction line list in this record (copper Kα).
Lines closer than 0.1° are merged.

The 10 most intense peaks (10° ≤ 2θ ≤ 90°), by intensity:
2theta, I_rel, h k l
38.3, 1000, 3 1 1
37.2, 295, 4 1 0
41.5, 261, 3 2 1
36.0, 250, 2 2 1
51.8, 219, 0 0 2
40.5, 203, 4 2 0
65.5, 170, 4 1 2
72.2, 155, 7 1 1
88.8, 112, 3 1 3
32.4, 104, 2 1 1

Structure:
```
data_Y2HfGa2Rh5
_space_group_name_H-M_alt 'P 4/m b m'
_space_group_IT_number 127
_space_group_name_Hall '-P 4 2ab'
_cell_length_a 9.967
_cell_length_b 9.967
_cell_length_c 3.530
_cell_angle_alpha 90.00
_cell_angle_beta 90.00
_cell_angle_gamma 90.00
loop_
_atom_site_label
_atom_site_fract_x
_atom_site_fract_y
_atom_site_fract_z
_atom_site_occupancy
Y1 0.173 0.327 0.000 1
Hf1 0.000 0.000 0.000 1
Ga1 0.125 0.625 0.000 1
Rh1 0.000 0.500 0.500 1
Rh2 0.067 0.795 0.500 1
```

***

7.
For Fe2Re3, a structure optimized by DFT (GGA-PBE) gives the computed powder diffraction line list in this record (copper Kα).
Lines closer than 0.1° are merged.

The 10 most intense peaks (10° ≤ 2θ ≤ 90°), by intensity:
2theta, I_rel, h k l
42.3, 1000, 2 2 1
44.7, 613, 3 1 0
47.0, 287, 3 1 1
31.2, 233, 2 1 0
75.7, 232, 4 3 1
80.8, 181, 5 2 0
34.3, 170, 2 1 1
24.1, 134, 1 1 1
61.4, 127, 4 1 1
73.9, 108, 4 3 0

Structure:
```
data_Fe2Re3
_space_group_name_H-M_alt 'P 41 3 2'
_space_group_IT_number 213
_space_group_name_Hall 'P 4bd 2ab 3'
_cell_length_a 6.409
_cell_length_b 6.409
_cell_length_c 6.409
_cell_angle_alpha 90.00
_cell_angle_beta 90.00
_cell_angle_gamma 90.00
loop_
_atom_site_label
_atom_site_fract_x
_atom_site_fract_y
_atom_site_fract_z
_atom_site_occupancy
Fe1 0.058 0.058 0.058 1
Re1 0.052 0.875 0.698 1
```

***

8.
For LiMgAlGa, a structure optimized by DFT (GGA-PBE) gives the computed powder diffraction line list in this record (copper Kα).
Lines closer than 0.1° are merged.

The 10 most intense peaks (10° ≤ 2θ ≤ 90°), by intensity:
2theta, I_rel, h k l
37.7, 1000, 1 1 -1
37.9, 989, 1 1 1
21.1, 634, 0 1 0
21.8, 597, 1 0 0
30.5, 531, 0 1 1
42.9, 344, 0 2 0
44.3, 313, 0 0 2
44.5, 309, 2 0 0
75.2, 247, 1 3 1
30.9, 242, 1 0 -1

Structure:
```
data_LiMgAlGa
_space_group_name_H-M_alt 'P 1 2/m 1'
_space_group_IT_number 10
_cell_length_a 4.072
_cell_length_b 4.215
_cell_length_c 4.087
_cell_angle_alpha 90.00
_cell_angle_beta 90.32
_cell_angle_gamma 90.00
loop_
_space_group_symop_operation_xyz
'x,y,z'
'-x,-y,-z'
'-x,y,-z'
'x,-y,z'
loop_
_atom_site_label
_atom_site_fract_x
_atom_site_fract_y
_atom_site_fract_z
_atom_site_occupancy
Li1 0.000 0.000 0.000 1
Mg1 0.500 0.000 0.500 1
Al1 0.000 0.500 0.500 1
Ga1 0.500 0.500 0.000 1
```

***

9.
For Ba2BPd6Au, a structure optimized by DFT (GGA-PBE) gives the computed powder diffraction line list in this record (copper Kα).
Lines closer than 0.1° are merged.

The 10 most intense peaks (10° ≤ 2θ ≤ 90°), by intensity:
2theta, I_rel, h k l
35.8, 1000, 1 0 7
39.2, 721, 0 2 4
32.8, 612, 1 1 3
62.1, 296, 2 2 0
57.0, 293, 2 1 7
41.5, 192, 2 0 5
73.8, 168, 1 3 7
40.4, 165, 0 0 9
53.1, 160, 0 1 11
55.0, 156, 0 3 3

Structure:
```
data_Ba2BPd6Au
_space_group_name_H-M_alt 'R -3 m'
_space_group_IT_number 166
_space_group_name_Hall '-R 3 2"'
_cell_length_a 5.9767
_cell_length_b 5.9767
_cell_length_c 20.0979
_cell_angle_alpha 90.00
_cell_angle_beta 90.00
_cell_angle_gamma 120.00
loop_
_atom_site_label
_atom_site_fract_x
_atom_site_fract_y
_atom_site_fract_z
_atom_site_occupancy
Ba1 0.0000 0.0000 0.2192 1
B1 0.0000 0.0000 0.0000 1
Pd1 0.0175 0.5087 0.2793 1
Au1 0.0000 0.0000 0.5000 1
```

***

10.
For Dy11In9Au4, a structure optimized by DFT (GGA-PBE) gives the computed powder diffraction line list in this record (copper Kα).
Lines closer than 0.1° are merged.

The 10 most intense peaks (10° ≤ 2θ ≤ 90°), by intensity:
2theta, I_rel, h k l
34.2, 1000, 0 6 1
34.3, 982, 4 0 1
34.4, 822, 4 6 0
36.4, 372, 3 5 1
61.1, 308, 4 6 2
48.9, 287, 0 0 2
32.5, 249, 3 3 1
31.4, 212, 2 4 1
36.9, 165, 1 9 0
81.9, 163, 0 6 3

Structure:
```
data_Dy11In9Au4
_space_group_name_H-M_alt 'C m m m'
_space_group_IT_number 65
_space_group_name_Hall '-C 2 2'
_cell_length_a 14.718
_cell_length_b 22.212
_cell_length_c 3.724
_cell_angle_alpha 90.00
_cell_angle_beta 90.00
_cell_angle_gamma 90.00
loop_
_atom_site_label
_atom_site_fract_x
_atom_site_fract_y
_atom_site_fract_z
_atom_site_occupancy
Dy1 0.000 0.000 0.000 1
Dy2 0.000 0.161 0.000 1
Dy3 0.000 0.370 0.000 1
Dy4 0.197 0.500 0.000 1
Dy5 0.240 0.173 0.000 1
In1 0.000 0.500 0.500 1
In2 0.106 0.261 0.500 1
In3 0.140 0.073 0.500 1
Au1 0.151 0.400 0.500 1
```

***

11.
For BaCd8Au4, a structure optimized by DFT (GGA-PBE) gives the computed powder diffraction line list in this record (copper Kα).
Lines closer than 0.1° are merged.

The 10 most intense peaks (10° ≤ 2θ ≤ 90°), by intensity:
2theta, I_rel, h k l
36.5, 1000, 2 0 2
40.7, 878, 2 2 2
35.2, 823, 4 0 0
35.5, 671, 3 2 1
39.5, 611, 4 2 0
17.4, 535, 2 0 0
64.0, 325, 6 0 2
30.7, 280, 3 0 1
51.6, 242, 4 2 2
39.8, 222, 4 1 1

Structure:
```
data_BaCd8Au4
_space_group_name_H-M_alt 'I 4/m m m'
_space_group_IT_number 139
_space_group_name_Hall '-I 4 2'
_cell_length_a 10.209
_cell_length_b 10.209
_cell_length_c 5.619
_cell_angle_alpha 90.00
_cell_angle_beta 90.00
_cell_angle_gamma 90.00
loop_
_atom_site_label
_atom_site_fract_x
_atom_site_fract_y
_atom_site_fract_z
_atom_site_occupancy
Ba1 0.000 0.000 0.000 1
Cd1 0.000 0.220 0.500 1
Cd2 0.000 0.354 0.000 1
Au1 0.250 0.250 0.250 1
```

***

12.
For CsLaO2, a structure optimized by DFT (GGA-PBE) gives the computed powder diffraction line list in this record (copper Kα).
Lines closer than 0.1° are merged.

The 10 most intense peaks (10° ≤ 2θ ≤ 90°), by intensity:
2theta, I_rel, h k l
27.6, 1000, 1 1 2
32.2, 529, 2 0 0
45.6, 334, 2 0 4
54.7, 311, 3 1 2
31.4, 240, 0 0 4
53.6, 209, 1 1 6
46.2, 187, 2 2 0
56.9, 172, 2 2 4
73.4, 162, 3 1 6
85.2, 110, 4 2 4

Structure:
```
data_CsLaO2
_space_group_name_H-M_alt 'I 41/a m d'
_space_group_IT_number 141
_cell_length_a 5.557
_cell_length_b 5.557
_cell_length_c 11.405
_cell_angle_alpha 90.00
_cell_angle_beta 90.00
_cell_angle_gamma 90.00
loop_
_space_group_symop_operation_xyz
'x,y,z'
'-x,-y,-z'
'-y+1/4,x+3/4,z+1/4'
'y+1/4,-x+3/4,-z+1/4'
'-x+1/2,-y,z+1/2'
'x+1/2,y,-z+1/2'
'y+1/4,-x+1/4,z+3/4'
'-y+1/4,x+1/4,-z+3/4'
'x,-y,-z'
'-x,y,z'
'-y+1/4,-x+1/4,-z+3/4'
'y+1/4,x+1/4,z+3/4'
'-x+1/2,y,-z+1/2'
'x+1/2,-y,z+1/2'
'y+1/4,x+3/4,-z+1/4'
'-y+1/4,-x+3/4,z+1/4'
'x+1/2,y+1/2,z+1/2'
'-x+1/2,-y+1/2,-z+1/2'
'-y+3/4,x+1/4,z+3/4'
'y+3/4,-x+1/4,-z+3/4'
'-x,-y+1/2,z'
'x,y+1/2,-z'
'y+3/4,-x+3/4,z+1/4'
'-y+3/4,x+3/4,-z+1/4'
'x+1/2,-y+1/2,-z+1/2'
'-x+1/2,y+1/2,z+1/2'
'-y+3/4,-x+3/4,-z+1/4'
'y+3/4,x+3/4,z+1/4'
'-x,y+1/2,-z'
'x,-y+1/2,z'
'y+3/4,x+1/4,-z+3/4'
'-y+3/4,-x+1/4,z+3/4'
loop_
_atom_site_label
_atom_site_fract_x
_atom_site_fract_y
_atom_site_fract_z
_atom_site_occupancy
Cs1 0.000 0.250 0.375 1
La1 0.000 0.250 0.875 1
O1 0.000 0.250 0.074 1
```